(1)
Calculated powder X-ray diffraction pattern of Na4MgNi2O6 for Cu Ka, from a structure optimized by DFT (GGA+U).
Lines closer than 0.1° are merged.

Top 10 peaks for 2θ = 10–90°, by angle:
d_spacing	Rel. int.
5.198	77.6
5.009	91.1
3.194	63.6
2.922	100.0
2.716	57.5
2.596	80.9
2.138	96.6
2.101	54.1
2.010	80.9
1.769	52.2

Structural model:
```
data_Na4MgNi2O6
_cell_length_a 5.492
_cell_length_b 5.584
_cell_length_c 5.757
_cell_angle_alpha 101.25
_cell_angle_beta 107.50
_cell_angle_gamma 108.64
_space_group_name_H-M_alt 'P 1'
_space_group_IT_number 1
loop_
_space_group_symop_operation_xyz
'x,y,z'
loop_
_atom_site_label
_atom_site_fract_x
_atom_site_fract_y
_atom_site_fract_z
Na1 0.000 0.000 0.000
Na2 0.000 0.000 0.500
Na3 0.471 0.190 0.391
Na4 0.529 0.810 0.609
Mg1 0.000 0.500 0.500
Ni1 0.291 0.605 0.001
Ni2 0.709 0.395 0.999
O1 0.139 0.723 0.241
O2 0.195 0.817 0.792
O3 0.422 0.456 0.753
O4 0.578 0.544 0.247
O5 0.805 0.183 0.208
O6 0.861 0.277 0.759
```


(2)
Calculated powder X-ray diffraction pattern of MgTi3Fe2CoP6O24 for Cu Ka, from a structure optimized by DFT (GGA+U).
Lines closer than 0.1° are merged.

Top 10 peaks for 2θ = 10–90°, by angle:
d_spacing	Rel. int.
7.135	27.5
4.384	100.0
3.729	38.4
3.714	65.9
3.691	74.4
2.847	36.5
2.733	51.7
2.709	71.2
2.532	55.2
2.527	33.5

Structural model:
```
data_MgTi3Fe2CoP6O24
_cell_length_a 8.541
_cell_length_b 8.579
_cell_length_c 8.633
_cell_angle_alpha 61.31
_cell_angle_beta 61.41
_cell_angle_gamma 61.49
_space_group_name_H-M_alt 'P 1'
_space_group_IT_number 1
loop_
_space_group_symop_operation_xyz
'x,y,z'
loop_
_atom_site_label
_atom_site_fract_x
_atom_site_fract_y
_atom_site_fract_z
Mg1 0.000 0.000 0.000
Ti1 0.143 0.150 0.158
Ti2 0.633 0.660 0.640
Ti3 0.845 0.878 0.853
Fe1 0.477 0.517 0.517
Fe2 0.744 0.389 0.137
Co1 0.342 0.373 0.358
P1 0.029 0.474 0.749
P2 0.241 0.969 0.550
P3 0.447 0.776 0.035
P4 0.551 0.268 0.961
P5 0.740 0.059 0.459
P6 0.938 0.564 0.249
O1 0.019 0.287 0.923
O2 0.084 0.947 0.746
O3 0.104 0.515 0.301
O4 0.168 0.006 0.397
O5 0.227 0.454 0.604
O6 0.247 0.925 0.060
O7 0.308 0.122 0.505
O8 0.377 0.212 0.030
O9 0.396 0.771 0.563
O10 0.462 0.608 0.220
O11 0.490 0.707 0.879
O12 0.544 0.333 0.103
O13 0.554 0.424 0.767
O14 0.595 0.265 0.433
O15 0.596 0.861 0.981
O16 0.667 0.907 0.503
O17 0.742 0.106 0.935
O18 0.744 0.583 0.409
O19 0.813 0.017 0.610
O20 0.878 0.517 0.673
O21 0.894 0.077 0.258
O22 0.922 0.758 0.089
O23 0.956 0.408 0.188
O24 0.969 0.631 0.826
```


(3)
Calculated powder X-ray diffraction pattern of Li11Ni12O24 for Cu Ka, from a structure optimized by DFT (GGA+U).
Lines closer than 0.1° are merged.

Top 10 peaks for 2θ = 10–90°, by angle:
d_spacing	Rel. int.
4.789	100.0
2.478	29.1
2.435	12.1
2.364	10.2
2.067	46.7
2.023	21.3
1.883	8.8
1.596	11.6
1.455	12.0
1.437	12.1

Structural model:
```
data_Li11Ni12O24
_cell_length_a 7.642
_cell_length_b 7.642
_cell_length_c 9.751
_cell_angle_alpha 121.10
_cell_angle_beta 121.10
_cell_angle_gamma 69.76
_space_group_name_H-M_alt 'P 1'
_space_group_IT_number 1
loop_
_space_group_symop_operation_xyz
'x,y,z'
loop_
_atom_site_label
_atom_site_fract_x
_atom_site_fract_y
_atom_site_fract_z
Li1 0.000 0.000 0.000
Li2 0.092 0.419 0.254
Li3 0.174 0.826 0.500
Li4 0.249 0.249 0.750
Li5 0.330 0.670 0.000
Li6 0.419 0.092 0.254
Li7 0.581 0.908 0.746
Li8 0.670 0.330 0.000
Li9 0.751 0.751 0.250
Li10 0.826 0.174 0.500
Li11 0.908 0.581 0.746
Ni1 0.042 0.711 0.125
Ni2 0.123 0.123 0.372
Ni3 0.207 0.541 0.624
Ni4 0.289 0.958 0.875
Ni5 0.375 0.375 0.124
Ni6 0.459 0.793 0.376
Ni7 0.541 0.207 0.624
Ni8 0.625 0.625 0.876
Ni9 0.711 0.042 0.125
Ni10 0.793 0.459 0.376
Ni11 0.877 0.877 0.628
Ni12 0.958 0.289 0.875
O1 0.023 0.360 0.550
O2 0.053 0.053 0.690
O3 0.110 0.779 0.808
O4 0.131 0.473 0.937
O5 0.182 0.182 0.041
O6 0.221 0.890 0.192
O7 0.264 0.622 0.297
O8 0.297 0.297 0.434
O9 0.360 0.023 0.550
O10 0.378 0.736 0.703
O11 0.430 0.430 0.792
O12 0.473 0.131 0.937
O13 0.527 0.869 0.063
O14 0.570 0.570 0.208
O15 0.622 0.264 0.297
O16 0.640 0.977 0.450
O17 0.703 0.703 0.566
O18 0.736 0.378 0.703
O19 0.779 0.110 0.808
O20 0.818 0.818 0.959
O21 0.869 0.527 0.063
O22 0.890 0.221 0.192
O23 0.947 0.947 0.310
O24 0.977 0.640 0.450
```


(4)
Calculated powder X-ray diffraction pattern of Li3MnCo2O6 for Cu Ka, from a structure optimized by DFT (GGA+U).
Lines closer than 0.1° are merged.

Top 10 peaks for 2θ = 10–90°, by angle:
d_spacing	Rel. int.
4.833	100.0
2.528	29.4
2.489	13.4
2.414	14.8
2.103	26.4
2.097	26.2
2.063	24.7
1.919	9.7
1.487	7.2
1.483	7.0

Structural model:
```
data_Li3MnCo2O6
_cell_length_a 5.064
_cell_length_b 5.142
_cell_length_c 8.900
_cell_angle_alpha 73.46
_cell_angle_beta 84.19
_cell_angle_gamma 79.85
_space_group_name_H-M_alt 'P 1'
_space_group_IT_number 1
loop_
_space_group_symop_operation_xyz
'x,y,z'
loop_
_atom_site_label
_atom_site_fract_x
_atom_site_fract_y
_atom_site_fract_z
Li1 0.000 0.000 0.000
Li2 0.000 0.340 0.661
Li3 0.001 0.677 0.320
Li4 0.502 0.838 0.167
Li5 0.505 0.515 0.488
Li6 0.506 0.176 0.827
Mn1 0.252 0.758 0.744
Mn2 0.752 0.257 0.244
Co1 0.251 0.093 0.410
Co2 0.253 0.422 0.079
Co3 0.752 0.588 0.914
Co4 0.752 0.927 0.575
O1 0.106 0.064 0.205
O2 0.117 0.422 0.861
O3 0.117 0.726 0.553
O4 0.386 0.094 0.627
O5 0.387 0.789 0.935
O6 0.398 0.452 0.283
O7 0.607 0.566 0.706
O8 0.639 0.225 0.045
O9 0.640 0.910 0.367
O10 0.865 0.289 0.442
O11 0.866 0.603 0.122
O12 0.896 0.950 0.783
```


Please write out number 1 again, unchanged.
Calculated powder X-ray diffraction pattern of Na4MgNi2O6 for Cu Ka, from a structure optimized by DFT (GGA+U).
Lines closer than 0.1° are merged.

Top 10 peaks for 2θ = 10–90°, by angle:
d_spacing	Rel. int.
5.198	77.6
5.009	91.1
3.194	63.6
2.922	100.0
2.716	57.5
2.596	80.9
2.138	96.6
2.101	54.1
2.010	80.9
1.769	52.2

Structural model:
```
data_Na4MgNi2O6
_cell_length_a 5.492
_cell_length_b 5.584
_cell_length_c 5.757
_cell_angle_alpha 101.25
_cell_angle_beta 107.50
_cell_angle_gamma 108.64
_space_group_name_H-M_alt 'P 1'
_space_group_IT_number 1
loop_
_space_group_symop_operation_xyz
'x,y,z'
loop_
_atom_site_label
_atom_site_fract_x
_atom_site_fract_y
_atom_site_fract_z
Na1 0.000 0.000 0.000
Na2 0.000 0.000 0.500
Na3 0.471 0.190 0.391
Na4 0.529 0.810 0.609
Mg1 0.000 0.500 0.500
Ni1 0.291 0.605 0.001
Ni2 0.709 0.395 0.999
O1 0.139 0.723 0.241
O2 0.195 0.817 0.792
O3 0.422 0.456 0.753
O4 0.578 0.544 0.247
O5 0.805 0.183 0.208
O6 0.861 0.277 0.759
```